Starting from the PBE geometry in Alexandria, the powder XRD pattern of NaRu was simulated for a wavelength of 1.5418 Å.
No peak broadening, texture or thermal motion is included.

Largest 10 diffraction maxima, by intensity, 10° ≤ 2θ ≤ 90°:
2θ = 42.41°, rel. 1000, (5 0 0)
2θ = 34.95°, rel. 988, (1 1 1)
2θ = 16.64°, rel. 778, (2 0 0)
2θ = 37.75°, rel. 660, (4 2 0)
2θ = 34.71°, rel. 612, (4 1 0)
2θ = 45.21°, rel. 607, (3 2 1)
2θ = 49.29°, rel. 496, (3 3 1)
2θ = 63.04°, rel. 457, (6 1 1)
2θ = 40.81°, rel. 418, (2 2 1)
2θ = 61.01°, rel. 264, (5 3 1)

Crystal structure
a b c (Å): 10.656 10.656 2.731
angles (deg): 90.00 90.00 90.00
Space group P4/mmm (No. 123)
One atom of each set of equivalent atoms:
Na 0.000 0.263 0.000 (multiplicity 4)
Na 0.264 0.264 0.500 (multiplicity 4)
Ru 0.113 0.500 0.500 (multiplicity 4)
Ru 0.340 0.500 0.000 (multiplicity 4)